Computed powder diffractogram of TlGaSe2O8 for Cu Kα (weighted mean of Kα1 and Kα2), from a crystal structure in the Materials Project, relaxed with GGA-PBE.

Structural model:
```
TlGaSe2O8
1.0
5.128 0.000 0.000
-2.564 4.441 0.000
0.000 0.000 9.089
Tl Ga Se O
1 1 2 8
direct
0.000 0.000 0.000
0.000 0.000 0.500
0.333 0.667 0.701
0.667 0.333 0.299
0.066 0.325 0.644
0.259 0.934 0.644
0.325 0.066 0.356
0.333 0.667 0.883
0.667 0.333 0.117
0.675 0.741 0.644
0.741 0.675 0.356
0.934 0.259 0.356
```

Peak list (12 most intense, 10° ≤ 2θ ≤ 80°, low angle first)
| two_theta | d/Å | I/Imax | hkl |
| --- | --- | --- | --- |
| 20.0 | 4.441 | 35 | 1 0 0 |
| 22.3 | 3.990 | 68 | 1 0 1 |
| 28.1 | 3.176 | 100 | 0 1 2 |
| 29.5 | 3.030 | 14 | 0 0 3 |
| 35.0 | 2.564 | 45 | 1 1 0 |
| 41.9 | 2.157 | 11 | 0 2 1 |
| 44.8 | 2.023 | 20 | 1 0 4 |
| 45.5 | 1.995 | 28 | 2 0 2 |
| 53.9 | 1.701 | 16 | 1 1 4 |
| 55.7 | 1.651 | 11 | 2 1 1 |
| 58.6 | 1.575 | 26 | 1 2 2 |
| 69.6 | 1.350 | 11 | 2 1 4 |


Computed powder diffractogram of SmGaO3 for Cu Kα (weighted mean of Kα1 and Kα2), from a crystal structure in the Materials Project, relaxed with GGA-PBE.

Structural model:
```
SmGaO3
1.0
3.862 0.000 0.000
0.000 3.862 0.000
0.000 0.000 3.862
Sm Ga O
1 1 3
direct
0.000 0.000 0.000
0.500 0.500 0.500
0.000 0.500 0.500
0.500 0.000 0.500
0.500 0.500 0.000
```

Peak list (9 most intense, 10° ≤ 2θ ≤ 80°, low angle first)
| two_theta | d/Å | I/Imax | hkl |
| --- | --- | --- | --- |
| 23.0 | 3.862 | 10 | 1 0 0 |
| 32.8 | 2.731 | 100 | 1 1 0 |
| 40.5 | 2.230 | 14 | 1 1 1 |
| 47.1 | 1.931 | 31 | 2 0 0 |
| 53.0 | 1.727 | 5 | 2 1 0 |
| 58.5 | 1.577 | 39 | 2 1 1 |
| 68.7 | 1.365 | 18 | 2 2 0 |
| 73.6 | 1.287 | 3 | 3 0 0 |
| 78.3 | 1.221 | 17 | 3 1 0 |


Number 1 is which compound?
TlGaSe2O8


Copy entry 1 word for word.
Computed powder diffractogram of TlGaSe2O8 for Cu Kα (weighted mean of Kα1 and Kα2), from a crystal structure in the Materials Project, relaxed with GGA-PBE.

Structural model:
```
TlGaSe2O8
1.0
5.128 0.000 0.000
-2.564 4.441 0.000
0.000 0.000 9.089
Tl Ga Se O
1 1 2 8
direct
0.000 0.000 0.000
0.000 0.000 0.500
0.333 0.667 0.701
0.667 0.333 0.299
0.066 0.325 0.644
0.259 0.934 0.644
0.325 0.066 0.356
0.333 0.667 0.883
0.667 0.333 0.117
0.675 0.741 0.644
0.741 0.675 0.356
0.934 0.259 0.356
```

Peak list (12 most intense, 10° ≤ 2θ ≤ 80°, low angle first)
| two_theta | d/Å | I/Imax | hkl |
| --- | --- | --- | --- |
| 20.0 | 4.441 | 35 | 1 0 0 |
| 22.3 | 3.990 | 68 | 1 0 1 |
| 28.1 | 3.176 | 100 | 0 1 2 |
| 29.5 | 3.030 | 14 | 0 0 3 |
| 35.0 | 2.564 | 45 | 1 1 0 |
| 41.9 | 2.157 | 11 | 0 2 1 |
| 44.8 | 2.023 | 20 | 1 0 4 |
| 45.5 | 1.995 | 28 | 2 0 2 |
| 53.9 | 1.701 | 16 | 1 1 4 |
| 55.7 | 1.651 | 11 | 2 1 1 |
| 58.6 | 1.575 | 26 | 1 2 2 |
| 69.6 | 1.350 | 11 | 2 1 4 |